No. 1
V3Cr2Ge4: calculated powder diffraction line list (Cu Kα X-rays), based on the PBE geometry in Alexandria.

Main lines, in order of falling intensity (2θ from 10° to 90°):
| 2θ/deg | I/Imax |
| --- | --- |
| 42.10 | 100 |
| 39.55 | 62 |
| 41.82 | 54 |
| 41.45 | 54 |
| 49.77 | 34 |
| 51.69 | 26 |
| 76.82 | 15 |
| 76.06 | 12 |

Structure:
```
18
Lattice="6.0761 -4.3568 0.0000 6.0761 4.3568 0.0000 -0.3731 0.0000 4.7396" Properties=species:S:1:pos:R:3 pbc="T T T"
V 5.7963 3.3477 3.5547
V 3.7379 1.0266 4.4942
V 3.9245 -1.0266 2.1245
V 7.8546 1.0266 2.6151
V 8.0412 -1.0266 0.2453
V 5.9829 -3.3477 1.1849
Cr 2.5904 1.2136 1.7036
Cr 2.4039 -1.2136 4.0734
Cr 9.3753 1.2136 0.6662
Cr 9.1887 -1.2136 3.0359
Ge 1.2573 1.0118 3.9703
Ge 1.4438 -1.0118 1.6005
Ge 5.0886 1.2197 2.2818
Ge 6.8771 1.2197 0.0880
Ge 4.9021 -1.2197 4.6516
Ge 6.6905 -1.2197 2.4578
Ge 10.3353 1.0118 3.1391
Ge 10.5219 -1.0118 0.7693
```

=====

No. 2
La2Dy3In2: calculated powder diffraction line list (Cu Kα X-rays), based on the PBE geometry in Alexandria.

Main lines, in order of falling intensity (2θ from 10° to 90°):
| 2θ/deg | I/Imax |
| --- | --- |
| 31.11 | 100 |
| 31.96 | 93 |
| 34.67 | 35 |
| 35.43 | 35 |
| 39.48 | 28 |
| 53.53 | 20 |
| 60.42 | 14 |
| 49.25 | 14 |

Structure:
```
7
Lattice="4.5655 0.0000 0.0000 -2.2790 5.6687 0.0000 -0.0139 -0.7903 8.1031" Properties=species:S:1:pos:R:3 pbc="T T T"
La 0.0143 1.1615 3.4886
La 2.2582 3.7168 4.6145
Dy 0.0000 0.0000 0.0000
Dy -0.0193 2.3876 6.9170
Dy 2.2919 2.4907 1.1860
In 0.0033 4.5818 2.1330
In 2.2692 0.2965 5.9701
```